This entry pairs a crystal structure of MnRu2F11 with its simulated XRD peak list. Radiation: CuKα. Structure: the GGA+U geometry in Alexandria.

Top 12 peaks for 5° ≤ 2θ ≤ 70°, by angle:
- 17.49°, I 76
- 22.63°, I 87
- 24.14°, I 100
- 24.42°, I 84
- 26.67°, I 34
- 27.01°, I 40
- 43.69°, I 23
- 46.20°, I 35
- 47.40°, I 55
- 48.40°, I 16
- 48.80°, I 21
- 50.98°, I 18

Cell and atoms:
```
MnRu2F11
1.0
-4.3492 4.4430 5.0718
4.3492 -4.4430 5.0718
4.3492 4.4430 -5.0718
Mn Ru F
2 4 22
Cartesian
0.0000 0.0000 2.5359 Mn
0.0000 0.0000 7.6076 Mn
5.8044 1.4354 0.0000 Ru
1.4551 3.0076 0.0000 Ru
2.8941 1.4354 5.0718 Ru
-1.4551 3.0076 5.0718 Ru
4.3492 0.0000 0.0000 F
1.8504 -0.5044 1.3452 F
4.8920 -2.4357 3.7090 F
4.8920 2.4357 -1.3628 F
6.8481 0.5044 1.3452 F
2.7371 1.6926 0.0000 F
2.7371 -1.6926 5.0718 F
2.4989 3.9386 -1.3452 F
0.5427 2.0073 1.3628 F
4.8920 2.4357 1.3628 F
1.8504 0.5044 3.7266 F
0.0000 4.4430 0.0000 F
2.4989 3.9386 1.3452 F
-0.5427 2.0073 3.7090 F
3.8065 2.4357 3.7090 F
1.8504 0.5044 6.4170 F
1.6121 6.1355 0.0000 F
1.6121 2.7504 5.0718 F
-2.4989 3.9386 3.7266 F
-0.5427 2.0073 6.4345 F
-0.5427 6.8787 1.3628 F
2.4989 4.9474 3.7266 F
```